For AcPr3F, DFT lattice parameters and positions (PBE) gives the calculated powder diffraction line list in this record (a wavelength of 1.5418 Å).

Cell: 5.342 5.342 5.342 Å, 90.00 90.00 90.00°
Fractional coordinates of all 5 atoms:
Ac: 0.000 0.000 0.000
Pr: 0.000 0.500 0.500
Pr: 0.500 0.000 0.500
Pr: 0.500 0.500 0.000
F: 0.500 0.500 0.500

Principal peaks in the range 2θ from 10° to 90°, sorted by position:
2θ = 16.59°, I 2
2θ = 23.55°, I 6
2θ = 28.95°, I 100
2θ = 33.55°, I 58
2θ = 41.40°, I 3
2θ = 48.18°, I 42
2θ = 57.19°, I 45
2θ = 59.99°, I 15
2θ = 70.51°, I 7
2θ = 77.96°, I 19
2θ = 80.39°, I 19
2θ = 89.98°, I 15

=====

For AcPu2F11, DFT lattice parameters and positions (PBE) gives the calculated powder diffraction line list in this record (a wavelength of 1.5418 Å).

Cell: 8.985 8.985 8.985 Å, 123.37 108.30 97.81°
Fractional coordinates of all 28 atoms:
Ac: 0.250 0.250 0.000
Ac: 0.750 0.750 0.000
Pu: 0.179 0.649 0.828
Pu: 0.321 0.149 0.470
Pu: 0.679 0.851 0.530
Pu: 0.821 0.351 0.172
F: 0.000 0.500 0.500
F: 0.053 0.951 0.276
F: 0.061 0.360 0.162
F: 0.175 0.451 0.898
F: 0.198 0.900 0.838
F: 0.216 0.364 0.580
F: 0.284 0.864 0.147
F: 0.302 0.140 0.701
F: 0.325 0.223 0.276
F: 0.439 0.600 0.299
F: 0.447 0.723 0.898
F: 0.500 0.000 0.500
F: 0.553 0.277 0.102
F: 0.561 0.400 0.701
F: 0.675 0.777 0.724
F: 0.698 0.860 0.299
F: 0.716 0.136 0.853
F: 0.784 0.636 0.420
F: 0.802 0.100 0.162
F: 0.825 0.549 0.102
F: 0.939 0.640 0.838
F: 0.947 0.049 0.724

Principal peaks in the range 2θ from 10° to 90°, sorted by position:
2θ = 15.00°, I 30
2θ = 20.14°, I 100
2θ = 21.22°, I 59
2θ = 22.63°, I 76
2θ = 23.75°, I 79
2θ = 25.78°, I 24
2θ = 27.49°, I 31
2θ = 30.25°, I 41
2θ = 40.93°, I 24
2θ = 41.34°, I 34
2θ = 43.77°, I 48
2θ = 63.32°, I 27

=====

For AcPuF14, DFT lattice parameters and positions (PBE) gives the calculated powder diffraction line list in this record (a wavelength of 1.5418 Å).

Cell: 4.693 8.375 8.383 Å, 118.21 90.42 101.91°
Fractional coordinates of all 16 atoms:
Ac: 0.000 0.000 0.000
Pu: 0.997 0.431 0.501
F: 0.139 0.376 0.690
F: 0.191 0.336 0.237
F: 0.233 0.819 0.370
F: 0.317 0.083 0.803
F: 0.375 0.623 0.567
F: 0.471 0.930 0.031
F: 0.534 0.914 0.402
F: 0.579 0.302 0.492
F: 0.582 0.535 0.981
F: 0.748 0.151 0.870
F: 0.815 0.527 0.359
F: 0.855 0.655 0.086
F: 0.899 0.661 0.733
F: 0.964 0.126 0.340

Principal peaks in the range 2θ from 10° to 90°, sorted by position:
2θ = 12.40°, I 100
2θ = 19.48°, I 33
2θ = 21.12°, I 35
2θ = 21.86°, I 31
2θ = 24.28°, I 22
2θ = 24.39°, I 20
2θ = 24.84°, I 17
2θ = 24.94°, I 17
2θ = 25.62°, I 21
2θ = 29.35°, I 10
2θ = 29.91°, I 9
2θ = 44.58°, I 10

=====

For Ac2PuF11, DFT lattice parameters and positions (PBE) gives the calculated powder diffraction line list in this record (a wavelength of 1.5418 Å).

Cell: 9.100 9.100 9.100 Å, 121.42 105.16 102.54°
Fractional coordinates of all 28 atoms:
Ac: 0.183 0.144 0.327
Ac: 0.317 0.644 0.962
Ac: 0.683 0.356 0.038
Ac: 0.817 0.856 0.673
Pu: 0.250 0.750 0.500
Pu: 0.750 0.250 0.500
F: 0.000 0.000 0.000
F: 0.005 0.434 0.748
F: 0.081 0.832 0.627
F: 0.187 0.934 0.430
F: 0.204 0.453 0.373
F: 0.220 0.879 0.100
F: 0.280 0.379 0.659
F: 0.296 0.668 0.249
F: 0.313 0.743 0.748
F: 0.419 0.047 0.751
F: 0.495 0.243 0.430
F: 0.500 0.500 0.000
F: 0.505 0.757 0.570
F: 0.581 0.953 0.249
F: 0.687 0.257 0.252
F: 0.704 0.332 0.751
F: 0.720 0.621 0.341
F: 0.780 0.121 0.900
F: 0.796 0.547 0.627
F: 0.813 0.066 0.570
F: 0.919 0.168 0.373
F: 0.995 0.566 0.252

Principal peaks in the range 2θ from 10° to 90°, sorted by position:
2θ = 12.76°, I 24
2θ = 20.18°, I 100
2θ = 20.45°, I 43
2θ = 22.41°, I 75
2θ = 22.91°, I 66
2θ = 26.16°, I 32
2θ = 31.42°, I 20
2θ = 32.03°, I 20
2θ = 41.33°, I 29
2θ = 41.65°, I 22
2θ = 42.19°, I 44
2θ = 45.14°, I 22

=====

For Rb3AcF6, DFT lattice parameters and positions (PBE) gives the calculated powder diffraction line list in this record (a wavelength of 1.5418 Å).

Cell: 6.881 7.100 11.838 Å, 90.00 123.91 90.00°
Fractional coordinates of all 20 atoms:
Rb: 0.000 0.000 0.000
Rb: 0.000 0.500 0.500
Rb: 0.222 0.049 0.741
Rb: 0.222 0.451 0.241
Rb: 0.778 0.549 0.759
Rb: 0.778 0.951 0.259
Ac: 0.500 0.000 0.500
Ac: 0.500 0.500 0.000
F: 0.161 0.179 0.447
F: 0.161 0.321 0.947
F: 0.241 0.729 0.418
F: 0.241 0.771 0.918
F: 0.400 0.073 0.273
F: 0.400 0.427 0.773
F: 0.600 0.573 0.227
F: 0.600 0.927 0.727
F: 0.759 0.229 0.082
F: 0.759 0.271 0.582
F: 0.839 0.679 0.053
F: 0.839 0.821 0.553

Principal peaks in the range 2θ from 10° to 90°, sorted by position:
2θ = 15.40°, I 30
2θ = 17.96°, I 22
2θ = 25.09°, I 32
2θ = 25.31°, I 73
2θ = 25.86°, I 100
2θ = 36.37°, I 35
2θ = 36.58°, I 18
2θ = 44.33°, I 15
2θ = 44.68°, I 21
2θ = 44.87°, I 18
2θ = 45.01°, I 20
2θ = 45.98°, I 28

=====

For Rb3AcF6, DFT lattice parameters and positions (PBE) gives the calculated powder diffraction line list in this record (a wavelength of 1.5418 Å).

Cell: 8.815 10.988 4.302 Å, 90.00 90.00 90.00°
Fractional coordinates of all 20 atoms:
Rb: 0.000 0.000 0.000
Rb: 0.217 0.251 0.500
Rb: 0.283 0.751 0.000
Rb: 0.500 0.500 0.500
Rb: 0.717 0.249 0.000
Rb: 0.783 0.749 0.500
Ac: 0.000 0.500 0.000
Ac: 0.500 0.000 0.500
F: 0.027 0.270 0.000
F: 0.114 0.585 0.500
F: 0.219 0.963 0.500
F: 0.281 0.463 0.000
F: 0.386 0.085 0.000
F: 0.473 0.770 0.500
F: 0.527 0.230 0.500
F: 0.614 0.915 0.000
F: 0.719 0.537 0.000
F: 0.781 0.037 0.500
F: 0.886 0.415 0.500
F: 0.973 0.730 0.000

Principal peaks in the range 2θ from 10° to 90°, sorted by position:
2θ = 12.87°, I 76
2θ = 23.01°, I 63
2θ = 25.92°, I 100
2θ = 28.23°, I 80
2θ = 32.60°, I 47
2θ = 33.71°, I 30
2θ = 37.05°, I 58
2θ = 40.28°, I 40
2θ = 42.01°, I 31
2θ = 50.02°, I 35
2θ = 50.16°, I 40
2θ = 54.19°, I 37